For Rb2V2CuP2O12, DFT lattice parameters and positions (GGA+U) gives the computed X-ray diffraction stick pattern in this record (Cu Kα (weighted mean of Kα1 and Kα2)).

Most intense lines, 10° ≤ 2θ ≤ 80°, by angle:
| two_theta | I_rel | hkl |
| --- | --- | --- |
| 24.6 | 800 | 1 2 -1 |
| 25.6 | 647 | 1 1 -2 |
| 26.5 | 305 | 1 0 2 |
| 30.1 | 345 | 1 3 -1 |
| 30.8 | 296 | 0 4 0 |
| 31.0 | 807 | 1 3 1 |
| 31.8 | 1000 | 0 2 3 |
| 35.5 | 333 | 2 0 0 |

Structure:
abc: 5.0737 11.6205 9.6913
angles: 90.00 94.67 90.00
Atoms (fractional coordinates):
Rb (0.0712, 0.1320, 0.3914)
Rb (0.0712, 0.3680, 0.8914)
Rb (0.9288, 0.6320, 0.1086)
Rb (0.9288, 0.8680, 0.6086)
V (0.4432, 0.6145, 0.7486)
V (0.4432, 0.8855, 0.2486)
V (0.5568, 0.1145, 0.7514)
V (0.5568, 0.3855, 0.2514)
Cu (0.0000, 0.0000, 0.0000)
Cu (0.0000, 0.5000, 0.5000)
P (0.4840, 0.6378, 0.4178)
P (0.4840, 0.8622, 0.9178)
P (0.5160, 0.1378, 0.0822)
P (0.5160, 0.3622, 0.5822)
O (0.1281, 0.6241, 0.7788)
O (0.1281, 0.8759, 0.2788)
O (0.1875, 0.6095, 0.3926)
O (0.1875, 0.8905, 0.8926)
O (0.3394, 0.0311, 0.1164)
O (0.3394, 0.4689, 0.6164)
O (0.4009, 0.0278, 0.6364)
O (0.4009, 0.4722, 0.1364)
O (0.4370, 0.1734, 0.9299)
O (0.4370, 0.3266, 0.4299)
O (0.4390, 0.2355, 0.1793)
O (0.4390, 0.2645, 0.6793)
O (0.5610, 0.7355, 0.3207)
O (0.5610, 0.7645, 0.8207)
O (0.5630, 0.6734, 0.5701)
O (0.5630, 0.8266, 0.0701)
O (0.5991, 0.5278, 0.8636)
O (0.5991, 0.9722, 0.3636)
O (0.6606, 0.5311, 0.3836)
O (0.6606, 0.9689, 0.8836)
O (0.8125, 0.1095, 0.1074)
O (0.8125, 0.3905, 0.6074)
O (0.8719, 0.1241, 0.7212)
O (0.8719, 0.3759, 0.2212)